Diffraction record for MnCu2P2O9. The powder diffractogram is theoretical, not measured: it uses a cell relaxed with PBE+U and Cu Kα.

Largest 6 diffraction maxima, in order of rising 2θ, 15 to 90 degrees two-theta:
2θ/deg, d [Å], I/Imax
17.14, 5.174, 100.0
21.63, 4.108, 66.6
21.85, 4.068, 73.0
30.54, 2.928, 79.9
33.47, 2.677, 72.0
34.05, 2.633, 81.1

Structure:
```
MnCu2P2O9
1.0
5.4610 0.0000 0.0000
0.0000 6.1154 0.0000
-4.0779 0.0000 20.2819
Mn Cu P O
4 8 8 36
Cartesian
0.1799 0.4213 2.9225 Mn
-1.8590 2.6364 13.0634 Mn
3.2421 3.4790 7.2185 Mn
1.2031 5.6941 17.3594 Mn
-0.5344 1.4928 8.6960 Cu
-2.5733 1.5649 18.8370 Cu
-1.8367 3.5210 16.3900 Cu
0.2023 5.6521 6.2490 Cu
1.1808 0.4633 14.0328 Cu
3.2198 2.5944 3.8919 Cu
3.9564 4.5505 1.4449 Cu
1.9175 4.6226 11.5858 Cu
-1.4071 0.5329 15.6100 P
0.6319 2.5248 5.4690 P
0.3688 4.5069 9.0393 P
-1.6702 4.6663 19.1802 P
3.0533 1.4492 1.1016 P
1.0143 1.6085 11.2426 P
0.7512 3.5906 14.8128 P
2.7902 5.5825 4.6719 P
-1.9708 4.3979 12.4653 O
0.0681 4.7752 2.3243 O
-0.7413 3.3919 8.7796 O
-2.7803 5.7812 18.9205 O
-0.1602 3.7524 6.0042 O
-2.1992 5.4207 16.1452 O
-1.7324 0.8299 14.1340 O
0.3065 2.2278 3.9931 O
-2.3785 3.4783 18.3861 O
-0.3395 5.6948 8.2451 O
0.2651 1.4066 6.4673 O
-1.7739 1.6511 16.6082 O
1.6894 1.1189 1.6546 O
-0.3495 1.9388 11.7956 O
-0.8042 3.3311 14.7067 O
1.2348 5.8420 4.5658 O
2.3971 4.4000 0.4171 O
0.3581 4.7731 10.5580 O
1.0250 1.3423 9.7239 O
-1.0140 1.7154 19.8648 O
0.1483 0.2734 15.7160 O
2.1873 2.7843 5.5751 O
1.7326 4.1766 8.4863 O
-0.3063 4.9965 18.6272 O
3.1570 4.4643 3.6736 O
1.1180 4.7089 13.8146 O
1.7226 0.4206 12.0367 O
3.7615 2.6371 1.8958 O
1.0766 3.8876 16.2887 O
3.1155 5.2855 6.1478 O
3.5823 0.6947 4.1367 O
1.5433 2.3630 14.2776 O
4.1634 0.3342 1.3613 O
2.1244 2.7235 11.5022 O
1.3150 1.3402 17.9575 O
3.3539 1.7175 7.8166 O
```



Diffraction record for Mn5CuP4O16. The powder diffractogram is theoretical, not measured: it uses a cell relaxed with PBE+U and Cu Kα.

Largest 6 diffraction maxima, in order of rising 2θ, 15 to 90 degrees two-theta:
2θ/deg, d [Å], I/Imax
24.87, 3.580, 100.0
29.49, 3.029, 31.5
29.70, 3.008, 56.9
30.47, 2.934, 88.8
30.71, 2.911, 64.7
32.49, 2.755, 63.6

Structure:
```
Mn5CuP4O16
1.0
6.1717 0.0000 0.0000
0.0000 11.7403 0.0000
-1.3624 0.0000 8.8681
Mn Cu P O
10 2 8 32
Cartesian
0.1844 0.0000 2.0256 Mn
-0.0671 3.6869 3.9230 Mn
0.6037 7.3252 1.1588 Mn
1.1167 2.7636 7.7220 Mn
1.7760 6.3574 4.9076 Mn
3.0333 0.4872 3.9605 Mn
3.6926 8.6338 1.1461 Mn
4.2056 1.4551 7.7093 Mn
4.8764 9.5570 4.9451 Mn
4.6249 5.8702 6.8425 Mn
1.5186 10.3099 7.0915 Cu
3.2907 4.4397 1.7766 Cu
0.2128 4.1019 0.9528 P
0.0682 0.7895 5.2582 P
1.6636 9.2456 3.6275 P
1.5354 6.0439 7.9077 P
3.2739 0.1737 0.9603 P
3.1457 3.3754 5.2405 P
4.7411 6.6596 3.6099 P
4.5965 9.9721 7.9153 P
0.0122 5.4731 0.2443 O
-0.1313 5.8269 3.8036 O
-0.8704 2.9899 8.7677 O
-0.3141 9.6111 7.0523 O
-0.2158 1.7576 6.4515 O
0.4061 10.1141 3.3240 O
0.3836 1.5926 3.9612 O
0.4308 5.9606 6.8344 O
1.3686 4.1634 2.0036 O
1.3272 8.3888 4.8617 O
1.3311 11.6655 5.5641 O
2.0519 0.6253 1.7843 O
1.9570 8.3328 2.3879 O
2.5768 7.0821 0.1424 O
1.8470 4.2185 5.0443 O
1.7421 4.6341 8.5758 O
3.0671 10.5042 0.2923 O
2.9623 10.0887 3.8238 O
2.2325 1.2120 8.7256 O
2.8523 2.4626 6.4801 O
2.7574 6.4955 7.0838 O
3.4782 5.7954 3.3039 O
3.4821 2.5187 4.0064 O
3.4407 10.0335 6.8645 O
4.3785 0.0904 2.0336 O
4.4257 7.4628 4.9069 O
4.4032 4.2439 5.5440 O
5.0251 7.6278 2.4166 O
5.1234 3.7409 1.8158 O
5.6797 8.8600 0.1004 O
4.9406 11.6971 5.0644 O
4.7971 11.3433 8.6237 O
```



Diffraction record for Mn2CuP3O12. The powder diffractogram is theoretical, not measured: it uses a cell relaxed with PBE+U and Cu Kα.

Largest 6 diffraction maxima, in order of rising 2θ, 15 to 90 degrees two-theta:
2θ/deg, d [Å], I/Imax
20.82, 4.268, 100.0
24.44, 3.643, 93.5
33.12, 2.705, 82.6
36.47, 2.463, 38.1
47.55, 1.912, 35.6
57.08, 1.614, 43.3

Structure:
```
Mn2CuP3O12
1.0
4.2667 2.4634 6.9965
-4.2667 2.4634 6.9965
0.0000 -4.9268 6.9965
Mn Cu P O
4 2 6 24
Cartesian
0.0000 0.0000 2.9897 Mn
0.0000 0.0000 7.5051 Mn
0.0000 0.0000 13.4845 Mn
0.0000 0.0000 17.9999 Mn
0.0000 0.0000 0.0000 Cu
0.0000 0.0000 10.4948 Cu
-3.0333 -0.3271 8.7457 P
-1.2334 -2.7905 12.2439 P
1.7999 -2.4634 8.7457 P
-1.7999 2.4634 12.2439 P
1.2334 2.7905 8.7457 P
3.0333 0.3271 12.2439 P
-3.3786 -1.0586 10.0335 O
-3.6837 1.0981 8.6485 O
-2.7928 -2.6411 12.3411 O
-0.7726 -1.4715 6.5353 O
-0.7726 -3.4552 10.9560 O
-1.4739 -0.1777 8.8429 O
0.8909 -3.7392 8.6485 O
-0.8881 1.4048 6.5353 O
-2.6060 2.3967 10.9560 O
-0.5831 -1.3653 12.1467 O
0.8909 -1.1876 8.8429 O
-1.6607 -0.0667 14.4543 O
1.6607 0.0667 6.5353 O
-0.8909 1.1876 12.1467 O
0.5831 1.3653 8.8429 O
2.6060 -2.3967 10.0335 O
0.8881 -1.4048 14.4543 O
-0.8909 3.7392 12.3411 O
1.4739 0.1777 12.1467 O
0.7726 3.4552 10.0335 O
0.7726 1.4716 14.4543 O
2.7928 2.6411 8.6485 O
3.6837 -1.0981 12.3411 O
3.3786 1.0586 10.9560 O
```